1.
The following is a computed XRD peak list of HoLuPd2. It was derived from a GGA-PBE-relaxed structure, using Cu Kα X-rays.
Intensities are scaled so that the largest is 100.

Top 9 peaks for 2θ from 10° to 90°, most intense first:
- 36.69°, I 100
- 66.07°, I 36
- 52.86°, I 17
- 89.46°, I 16
- 78.02°, I 11
- 25.72°, I 6
- 59.69°, I 2
- 45.34°, I 2
- 83.77°, I 1

Structure:
Lattice parameters (Å, degrees): 6.9282 6.9282 6.9282 90.00 90.00 90.00
Positions (direct):
1 Ho 0.0000 0.0000 0.0000
2 Ho 0.0000 0.5000 0.5000
3 Ho 0.5000 0.0000 0.5000
4 Ho 0.5000 0.5000 0.0000
5 Lu 0.0000 0.0000 0.5000
6 Lu 0.0000 0.5000 0.0000
7 Lu 0.5000 0.0000 0.0000
8 Lu 0.5000 0.5000 0.5000
9 Pd 0.2500 0.2500 0.2500
10 Pd 0.2500 0.2500 0.7500
11 Pd 0.2500 0.7500 0.2500
12 Pd 0.2500 0.7500 0.7500
13 Pd 0.7500 0.2500 0.2500
14 Pd 0.7500 0.2500 0.7500
15 Pd 0.7500 0.7500 0.2500
16 Pd 0.7500 0.7500 0.7500

=====

2.
The following is a computed XRD peak list of HoLuRu2. It was derived from a GGA-PBE-relaxed structure, using Cu Kα X-rays.
Intensities are scaled so that the largest is 100.

Top 8 peaks for 2θ from 10° to 90°, most intense first:
- 37.82°, I 100
- 68.29°, I 35
- 54.55°, I 17
- 80.80°, I 11
- 26.49°, I 7
- 61.65°, I 3
- 46.77°, I 2
- 86.86°, I 2

Structure:
Lattice parameters (Å, degrees): 6.7286 6.7286 6.7286 90.00 90.00 90.00
Positions (direct):
1 Ho 0.0000 0.0000 0.0000
2 Ho 0.0000 0.5000 0.5000
3 Ho 0.5000 0.0000 0.5000
4 Ho 0.5000 0.5000 0.0000
5 Lu 0.0000 0.0000 0.5000
6 Lu 0.0000 0.5000 0.0000
7 Lu 0.5000 0.0000 0.0000
8 Lu 0.5000 0.5000 0.5000
9 Ru 0.2500 0.2500 0.2500
10 Ru 0.2500 0.2500 0.7500
11 Ru 0.2500 0.7500 0.2500
12 Ru 0.2500 0.7500 0.7500
13 Ru 0.7500 0.2500 0.2500
14 Ru 0.7500 0.2500 0.7500
15 Ru 0.7500 0.7500 0.2500
16 Ru 0.7500 0.7500 0.7500

=====

3.
The following is a computed XRD peak list of Ho3Mg. It was derived from a GGA-PBE-relaxed structure, using Cu Kα X-rays.
Intensities are scaled so that the largest is 100.

Top 10 peaks for 2θ from 10° to 90°, most intense first:
- 31.83°, I 100
- 35.17°, I 39
- 61.01°, I 31
- 54.48°, I 20
- 26.62°, I 18
- 50.58°, I 14
- 40.22°, I 12
- 66.52°, I 11
- 67.87°, I 9
- 89.33°, I 9

Structure:
Lattice parameters (Å, degrees): 3.6090 3.6090 8.9680 90.00 90.00 90.00
Positions (direct):
1 Ho 0.0000 0.0000 0.0000
2 Ho 0.5000 0.5000 0.2662
3 Ho 0.5000 0.5000 0.7338
4 Mg 0.0000 0.0000 0.5000

=====

4.
The following is a computed XRD peak list of HoMg2. It was derived from a GGA-PBE-relaxed structure, using Cu Kα X-rays.
Intensities are scaled so that the largest is 100.

Top 10 peaks for 2θ from 10° to 90°, most intense first:
- 32.37°, I 100
- 29.59°, I 81
- 34.94°, I 76
- 16.96°, I 45
- 54.29°, I 45
- 19.25°, I 32
- 35.55°, I 30
- 49.79°, I 28
- 18.15°, I 24
- 59.00°, I 22

Structure:
Lattice parameters (Å, degrees): 6.0372 6.0372 9.7755 90.00 90.00 120.00
Positions (direct):
1 Ho 0.3333 0.6667 0.0641
2 Ho 0.3333 0.6667 0.4359
3 Ho 0.6667 0.3333 0.5641
4 Ho 0.6667 0.3333 0.9359
5 Mg 0.0000 0.0000 0.0000
6 Mg 0.0000 0.0000 0.5000
7 Mg 0.1710 0.3421 0.7500
8 Mg 0.1710 0.8290 0.7500
9 Mg 0.3421 0.1710 0.2500
10 Mg 0.6579 0.8290 0.7500
11 Mg 0.8290 0.1710 0.2500
12 Mg 0.8290 0.6579 0.2500

=====

5.
The following is a computed XRD peak list of HoMg. It was derived from a GGA-PBE-relaxed structure, using Cu Kα X-rays.
Intensities are scaled so that the largest is 100.

Top 10 peaks for 2θ from 10° to 90°, most intense first:
- 33.57°, I 100
- 23.56°, I 64
- 60.02°, I 38
- 54.34°, I 27
- 41.42°, I 20
- 48.21°, I 18
- 80.44°, I 16
- 75.55°, I 13
- 70.56°, I 12
- 85.26°, I 8

Structure:
Lattice parameters (Å, degrees): 3.7754 3.7754 3.7754 90.00 90.00 90.00
Positions (direct):
1 Ho 0.0000 0.0000 0.0000
2 Mg 0.5000 0.5000 0.5000

=====

6.
The following is a computed XRD peak list of HoMg2. It was derived from a GGA-PBE-relaxed structure, using Cu Kα X-rays.
Intensities are scaled so that the largest is 100.

Top 10 peaks for 2θ from 10° to 90°, most intense first:
- 29.69°, I 100
- 34.97°, I 97
- 18.05°, I 65
- 52.69°, I 41
- 56.16°, I 33
- 61.65°, I 22
- 88.18°, I 21
- 85.35°, I 21
- 46.51°, I 18
- 69.90°, I 17

Structure:
Lattice parameters (Å, degrees): 6.0180 6.0180 6.0180 60.00 60.00 60.00
Positions (direct):
1 Ho 0.1250 0.1250 0.1250
2 Ho 0.8750 0.8750 0.8750
3 Mg 0.0000 0.5000 0.5000
4 Mg 0.5000 0.0000 0.5000
5 Mg 0.5000 0.5000 0.0000
6 Mg 0.5000 0.5000 0.5000

=====

7.
The following is a computed XRD peak list of Ho3Mg. It was derived from a GGA-PBE-relaxed structure, using Cu Kα X-rays.
Intensities are scaled so that the largest is 100.

Top 10 peaks for 2θ from 10° to 90°, most intense first:
- 33.80°, I 100
- 32.40°, I 25
- 29.55°, I 24
- 21.79°, I 23
- 63.00°, I 22
- 58.70°, I 21
- 52.43°, I 19
- 63.85°, I 16
- 44.42°, I 16
- 87.11°, I 14

Structure:
Lattice parameters (Å, degrees): 6.9805 6.9805 5.5260 90.00 90.00 120.00
Positions (direct):
1 Ho 0.1696 0.3392 0.2500
2 Ho 0.1696 0.8304 0.2500
3 Ho 0.3392 0.1696 0.7500
4 Ho 0.6608 0.8304 0.2500
5 Ho 0.8304 0.1696 0.7500
6 Ho 0.8304 0.6608 0.7500
7 Mg 0.3333 0.6667 0.7500
8 Mg 0.6667 0.3333 0.2500

=====

8.
The following is a computed XRD peak list of HoMg2. It was derived from a GGA-PBE-relaxed structure, using Cu Kα X-rays.
Intensities are scaled so that the largest is 100.

Top 10 peaks for 2θ from 10° to 90°, most intense first:
- 33.65°, I 100
- 19.71°, I 98
- 34.49°, I 61
- 61.25°, I 36
- 48.95°, I 35
- 67.14°, I 17
- 40.03°, I 16
- 44.33°, I 16
- 82.56°, I 15
- 53.85°, I 14

Structure:
Lattice parameters (Å, degrees): 5.2016 5.2016 3.3030 90.00 90.00 120.00
Positions (direct):
1 Ho 0.0000 0.0000 0.0000
2 Mg 0.3333 0.6667 0.5000
3 Mg 0.6667 0.3333 0.5000

=====

9.
The following is a computed XRD peak list of HoMg5. It was derived from a GGA-PBE-relaxed structure, using Cu Kα X-rays.
Intensities are scaled so that the largest is 100.

Top 10 peaks for 2θ from 10° to 90°, most intense first:
- 33.96°, I 100
- 13.22°, I 93
- 35.30°, I 90
- 15.62°, I 65
- 17.16°, I 58
- 25.40°, I 48
- 34.72°, I 47
- 35.00°, I 46
- 27.59°, I 41
- 48.14°, I 31

Structure:
Lattice parameters (Å, degrees): 11.9043 3.6865 7.0247 90.00 107.61 90.00
Positions (direct):
1 Ho 0.0000 0.0000 0.0000
2 Ho 0.5000 0.5000 0.0000
3 Mg 0.0000 0.0000 0.5000
4 Mg 0.1713 0.5000 0.3437
5 Mg 0.1724 0.5000 0.8230
6 Mg 0.3276 0.0000 0.1770
7 Mg 0.3287 0.0000 0.6563
8 Mg 0.5000 0.5000 0.5000
9 Mg 0.6713 0.0000 0.3437
10 Mg 0.6724 0.0000 0.8230
11 Mg 0.8276 0.5000 0.1770
12 Mg 0.8287 0.5000 0.6563